1.
This entry pairs a crystal structure of NpTiSe2O with its theoretical powder XRD pattern. Radiation: Cu Kα, 1.54184 Å. Structure: a cell relaxed with GGA-PBE.
Intensities are scaled so that the largest is 100.

Structure:
Cell lengths 3.7418, 3.7418, 13.2327 Å; angles 90.00, 90.00, 90.00 degrees
Space group P4/nmm (No. 129, origin choice 2)
One atom of each set of equivalent atoms:
Np (0.2500, 0.2500, 0.0997)
Ti (0.2500, 0.2500, 0.5828)
Se (0.2500, 0.2500, 0.3886)
Se (0.2500, 0.2500, 0.7890)
O (0.2500, 0.7500, 0.0000)

Top 10 peaks for 10 to 90 degrees two-theta, most intense first:
2.853 Å, 2θ = 31.35°, rel. 100; 2.646 Å, 2θ = 33.88°, rel. 80; 2.478 Å, 2θ = 36.25°, rel. 36; 1.871 Å, 2θ = 48.67°, rel. 35; 1.565 Å, 2θ = 59.04°, rel. 35; 3.257 Å, 2θ = 27.38°, rel. 32; 2.066 Å, 2θ = 43.81°, rel. 29; 1.183 Å, 2θ = 81.30°, rel. 23; 1.694 Å, 2θ = 54.14°, rel. 21; 3.308 Å, 2θ = 26.95°, rel. 20



2.
This entry pairs a crystal structure of YNpSeO2 with its theoretical powder XRD pattern. Radiation: Cu Kα, 1.54184 Å. Structure: a cell relaxed with GGA-PBE.
Intensities are scaled so that the largest is 100.

Structure:
Cell lengths 3.8364, 3.8364, 12.2042 Å; angles 90.00, 90.00, 90.00 degrees
Space group I4mm (No. 107)
One atom of each set of equivalent atoms:
Y (0.0000, 0.0000, 0.0000)
Np (0.0000, 0.0000, 0.3000)
Se (0.0000, 0.0000, 0.6530)
O (0.0000, 0.5000, 0.4045)

Top 10 peaks for 10 to 90 degrees two-theta, most intense first:
2.791 Å, 2θ = 32.07°, rel. 100; 2.713 Å, 2θ = 33.02°, rel. 42; 1.581 Å, 2θ = 58.37°, rel. 37; 3.660 Å, 2θ = 24.32°, rel. 32; 6.102 Å, 2θ = 14.52°, rel. 22; 1.918 Å, 2θ = 47.39°, rel. 21; 1.627 Å, 2θ = 56.55°, rel. 19; 2.027 Å, 2θ = 44.70°, rel. 14; 2.479 Å, 2θ = 36.24°, rel. 9; 1.220 Å, 2θ = 78.38°, rel. 9



3.
This entry pairs a crystal structure of Sm2Np2O7 with its theoretical powder XRD pattern. Radiation: Cu Kα, 1.54184 Å. Structure: a cell relaxed with GGA-PBE.
Intensities are scaled so that the largest is 100.

Structure:
Cell lengths 10.9382, 10.9382, 10.9382 Å; angles 90.00, 90.00, 90.00 degrees
Space group Fd-3m (No. 227, origin choice 2)
One atom of each set of equivalent atoms:
Sm (0.0000, 0.0000, 0.0000)
Np (0.0000, 0.0000, 0.5000)
O (0.0996, 0.3750, 0.8750)
O (0.1250, 0.1250, 0.1250)

Top 10 peaks for 10 to 90 degrees two-theta, most intense first:
3.158 Å, 2θ = 28.26°, rel. 100; 1.934 Å, 2θ = 46.99°, rel. 48; 1.649 Å, 2θ = 55.75°, rel. 46; 2.735 Å, 2θ = 32.75°, rel. 37; 1.255 Å, 2θ = 75.82°, rel. 19; 1.116 Å, 2θ = 87.35°, rel. 16; 1.223 Å, 2θ = 78.16°, rel. 15; 1.579 Å, 2θ = 58.46°, rel. 11; 1.367 Å, 2θ = 68.64°, rel. 7; 3.298 Å, 2θ = 27.04°, rel. 5



4.
This entry pairs a crystal structure of SmNp2O11 with its theoretical powder XRD pattern. Radiation: Cu Kα, 1.54184 Å. Structure: a cell relaxed with GGA-PBE.
Intensities are scaled so that the largest is 100.

Structure:
Cell lengths 7.6131, 8.2813, 8.3422 Å; angles 93.27, 103.55, 103.90 degrees
Space group P1 (No. 1)
One atom of each set of equivalent atoms:
Sm (0.0000, 0.0000, 0.0000)
Sm (0.4279, 0.6710, 0.3930)
Np (0.4258, 0.1745, 0.4051)
Np (0.4594, 0.6677, 0.9015)
Np (0.9440, 0.0167, 0.4952)
Np (0.9439, 0.4901, 0.0316)
O (0.0083, 0.7270, 0.0533)
O (0.1047, 0.8189, 0.6136)
O (0.1525, 0.5061, 0.2158)
O (0.1652, 0.1865, 0.5111)
O (0.2227, 0.5229, 0.8902)
O (0.2665, 0.9106, 0.7212)
O (0.2691, 0.8878, 0.8842)
O (0.2802, 0.1565, 0.1810)
O (0.3654, 0.9313, 0.3818)
O (0.4134, 0.6367, 0.6668)
O (0.4931, 0.4137, 0.4194)
O (0.5102, 0.6879, 0.1357)
O (0.5486, 0.1807, 0.6212)
O (0.6767, 0.8425, 0.9141)
O (0.7033, 0.4945, 0.9071)
O (0.7311, 0.8370, 0.4799)
O (0.7540, 0.2074, 0.3908)
O (0.7662, 0.4275, 0.2396)
O (0.8642, 0.3563, 0.3551)
O (0.9039, 0.2547, 0.0010)
O (0.9277, 0.9700, 0.2667)
O (0.9647, 0.0686, 0.7252)

Top 10 peaks for 10 to 90 degrees two-theta, most intense first:
3.951 Å, 2θ = 22.50°, rel. 100; 5.355 Å, 2θ = 16.55°, rel. 85; 3.572 Å, 2θ = 24.93°, rel. 82; 4.026 Å, 2θ = 22.08°, rel. 74; 3.094 Å, 2θ = 28.86°, rel. 57; 3.968 Å, 2θ = 22.40°, rel. 45; 3.151 Å, 2θ = 28.32°, rel. 43; 2.788 Å, 2θ = 32.10°, rel. 37; 3.599 Å, 2θ = 24.74°, rel. 37; 4.601 Å, 2θ = 19.29°, rel. 37



5.
This entry pairs a crystal structure of Sm4NpO10 with its theoretical powder XRD pattern. Radiation: Cu Kα, 1.54184 Å. Structure: a cell relaxed with GGA-PBE.
Intensities are scaled so that the largest is 100.

Structure:
Cell lengths 8.6582, 8.6582, 5.4457 Å; angles 90.00, 90.00, 90.00 degrees
Space group I4/m (No. 87)
One atom of each set of equivalent atoms:
Sm (0.0989, 0.6988, 0.0000)
Np (0.0000, 0.0000, 0.5000)
O (0.0000, 0.5000, 0.2500)
O (0.0953, 0.1835, 0.2686)

Top 10 peaks for 10 to 90 degrees two-theta, most intense first:
3.156 Å, 2θ = 28.28°, rel. 100; 1.931 Å, 2θ = 47.07°, rel. 35; 1.650 Å, 2θ = 55.70°, rel. 30; 2.738 Å, 2θ = 32.71°, rel. 22; 1.936 Å, 2θ = 46.93°, rel. 17; 1.644 Å, 2θ = 55.94°, rel. 15; 1.253 Å, 2θ = 75.94°, rel. 12; 1.117 Å, 2θ = 87.31°, rel. 11; 2.723 Å, 2θ = 32.89°, rel. 11; 1.578 Å, 2θ = 58.50°, rel. 10



6.
This entry pairs a crystal structure of SmNp2O8 with its theoretical powder XRD pattern. Radiation: Cu Kα, 1.54184 Å. Structure: a cell relaxed with GGA-PBE.
Intensities are scaled so that the largest is 100.

Structure:
Cell lengths 6.9882, 6.9882, 4.2339 Å; angles 90.00, 90.00, 120.00 degrees
Space group P-3 (No. 147)
One atom of each set of equivalent atoms:
Sm (0.0000, 0.0000, 0.0000)
Np (0.3333, 0.6667, 0.7438)
O (0.1720, 0.3453, 0.7456)
O (0.3333, 0.6667, 0.2418)

Top 10 peaks for 10 to 90 degrees two-theta, most intense first:
3.494 Å, 2θ = 25.49°, rel. 100; 3.469 Å, 2θ = 25.68°, rel. 98; 2.013 Å, 2θ = 45.05°, rel. 43; 1.320 Å, 2θ = 71.47°, rel. 24; 2.462 Å, 2θ = 36.50°, rel. 23; 2.017 Å, 2θ = 44.93°, rel. 22; 1.747 Å, 2θ = 52.37°, rel. 20; 1.560 Å, 2θ = 59.22°, rel. 20; 1.998 Å, 2θ = 45.39°, rel. 17; 1.554 Å, 2θ = 59.50°, rel. 15



7.
This entry pairs a crystal structure of SmNpTl2O6 with its theoretical powder XRD pattern. Radiation: Cu Kα, 1.54184 Å. Structure: a cell relaxed with GGA-PBE.
Intensities are scaled so that the largest is 100.

Structure:
Cell lengths 10.7492, 6.2060, 6.2065 Å; angles 90.00, 125.26, 90.00 degrees
Space group C2/m (No. 12)
One atom of each set of equivalent atoms:
Sm (0.0000, 0.0000, 0.0000)
Np (0.0000, 0.5000, 0.5000)
Tl (0.2500, 0.0000, 0.7499)
O (0.0010, 0.2677, 0.2687)
O (0.2323, 0.5000, 0.7343)

Top 10 peaks for 10 to 90 degrees two-theta, most intense first:
3.103 Å, 2θ = 28.77°, rel. 100; 1.792 Å, 2θ = 50.97°, rel. 43; 2.194 Å, 2θ = 41.14°, rel. 26; 1.173 Å, 2θ = 82.19°, rel. 23; 1.388 Å, 2θ = 67.49°, rel. 19; 1.552 Å, 2θ = 59.59°, rel. 17; 1.267 Å, 2θ = 74.97°, rel. 6; 5.067 Å, 2θ = 17.50°, rel. 3; 1.097 Å, 2θ = 89.28°, rel. 3; 2.646 Å, 2θ = 33.87°, rel. 1



8.
This entry pairs a crystal structure of Np2SnO8 with its theoretical powder XRD pattern. Radiation: Cu Kα, 1.54184 Å. Structure: a cell relaxed with GGA-PBE.
Intensities are scaled so that the largest is 100.

Structure:
Cell lengths 4.2525, 6.5903, 6.5936 Å; angles 60.05, 89.99, 89.99 degrees
Space group P-1 (No. 2)
One atom of each set of equivalent atoms:
Np (0.2471, 0.3333, 0.3336)
Sn (0.0000, 0.0000, 0.0000)
O (0.2380, 0.6667, 0.6664)
O (0.2453, 0.1592, 0.1602)
O (0.2453, 0.1601, 0.6807)
O (0.2453, 0.6807, 0.1589)

Top 10 peaks for 10 to 90 degrees two-theta, most intense first:
3.411 Å, 2θ = 26.13°, rel. 100; 3.297 Å, 2θ = 27.05°, rel. 92; 1.925 Å, 2θ = 47.23°, rel. 43; 2.370 Å, 2θ = 37.96°, rel. 22; 1.903 Å, 2θ = 47.78°, rel. 20; 1.484 Å, 2θ = 62.59°, rel. 18; 1.648 Å, 2θ = 55.77°, rel. 18; 1.993 Å, 2θ = 45.52°, rel. 16; 1.515 Å, 2θ = 61.19°, rel. 15; 1.705 Å, 2θ = 53.75°, rel. 14